For NaCa2Ta3O10, a PBE-relaxed structure gives the simulated X-ray diffraction stick pattern in this record (Cu Kα X-rays).
Peak positions follow from Bragg's law for the DFT cell and can differ from measured ones.

Structure:
```
16
Lattice="-1.972 1.972 14.757 1.972 -1.972 14.757 1.972 1.972 -14.757" Properties=species:S:1:pos:R:3 pbc="T T T"
Na 0.000 0.000 0.000
Ca 1.972 0.000 5.081
Ca 1.972 0.000 9.676
Ta 0.000 1.972 3.105
Ta 0.000 1.972 7.378
Ta 0.000 1.972 11.652
O 0.000 0.000 3.511
O 0.000 0.000 7.373
O 0.000 0.000 11.224
O 0.000 1.972 1.305
O 0.000 0.000 18.290
O 0.000 1.972 5.408
O 0.000 0.000 22.140
O 0.000 1.972 9.349
O 0.000 0.000 26.003
O 0.000 1.972 13.452
```

Top 10 peaks for 10° ≤ 2θ ≤ 80°, by angle:
2θ 12.0, rel. 22
2θ 18.0, rel. 34
2θ 22.7, rel. 95
2θ 24.1, rel. 23
2θ 31.1, rel. 100
2θ 32.1, rel. 48
2θ 46.0, rel. 35
2θ 51.9, rel. 31
2θ 54.6, rel. 26
2θ 56.6, rel. 38

=====

For NaCaTl2O4, a PBE-relaxed structure gives the simulated X-ray diffraction stick pattern in this record (Cu Kα X-rays).
Peak positions follow from Bragg's law for the DFT cell and can differ from measured ones.

Structure:
```
16
Lattice="4.943 0.000 0.000 0.000 4.943 0.000 0.000 0.000 9.536" Properties=species:S:1:pos:R:3 pbc="T T T"
Na 0.000 0.000 0.000
Na 2.471 2.471 4.768
Ca 0.000 0.000 4.768
Ca 2.471 2.471 0.000
Tl 0.000 2.471 2.384
Tl 0.000 2.471 7.152
Tl 2.471 0.000 2.384
Tl 2.471 0.000 7.152
O 0.000 0.000 2.424
O 0.000 0.000 7.112
O 0.000 2.471 0.000
O 0.000 2.471 4.768
O 2.471 0.000 0.000
O 2.471 0.000 4.768
O 2.471 2.471 2.344
O 2.471 2.471 7.192
```

Top 10 peaks for 10° ≤ 2θ ≤ 80°, by angle:
2θ 18.6, rel. 62
2θ 25.5, rel. 60
2θ 31.7, rel. 100
2θ 36.4, rel. 63
2θ 37.7, rel. 28
2θ 41.1, rel. 35
2θ 46.1, rel. 26
2θ 52.4, rel. 21
2θ 53.4, rel. 40
2θ 62.5, rel. 31

=====

Copy entry 1 word for word.
For NaCa2Ta3O10, a PBE-relaxed structure gives the simulated X-ray diffraction stick pattern in this record (Cu Kα X-rays).
Peak positions follow from Bragg's law for the DFT cell and can differ from measured ones.

Structure:
```
16
Lattice="-1.972 1.972 14.757 1.972 -1.972 14.757 1.972 1.972 -14.757" Properties=species:S:1:pos:R:3 pbc="T T T"
Na 0.000 0.000 0.000
Ca 1.972 0.000 5.081
Ca 1.972 0.000 9.676
Ta 0.000 1.972 3.105
Ta 0.000 1.972 7.378
Ta 0.000 1.972 11.652
O 0.000 0.000 3.511
O 0.000 0.000 7.373
O 0.000 0.000 11.224
O 0.000 1.972 1.305
O 0.000 0.000 18.290
O 0.000 1.972 5.408
O 0.000 0.000 22.140
O 0.000 1.972 9.349
O 0.000 0.000 26.003
O 0.000 1.972 13.452
```

Top 10 peaks for 10° ≤ 2θ ≤ 80°, by angle:
2θ 12.0, rel. 22
2θ 18.0, rel. 34
2θ 22.7, rel. 95
2θ 24.1, rel. 23
2θ 31.1, rel. 100
2θ 32.1, rel. 48
2θ 46.0, rel. 35
2θ 51.9, rel. 31
2θ 54.6, rel. 26
2θ 56.6, rel. 38